1.
This entry pairs a crystal structure of SrLi2Ac2Ge2 with its simulated powder XRD pattern. Radiation: CuKα. Structure: a DFT-relaxed cell (PBE, Alexandria).
Lines closer than 0.1° are merged.

Crystal structure
```
data_SrLi2Ac2Ge2
_chemical_formula_sum 'Sr1 Li2 Ac2 Ge2'
_cell_length_a 11.777
_cell_length_b 11.777
_cell_length_c 11.777
_cell_angle_alpha 22.62
_cell_angle_beta 22.62
_cell_angle_gamma 22.62
_space_group_name_H-M_alt 'P 1'
_space_group_IT_number 1
_space_group_name_Hall 'P 1'
loop_
_atom_site_label
_atom_site_fract_x
_atom_site_fract_y
_atom_site_fract_z
_atom_site_occupancy
Sr1 0.000 0.000 0.000 1
Li1 0.388 0.388 0.388 1
Li2 0.612 0.612 0.612 1
Ac1 0.116 0.116 0.116 1
Ac2 0.884 0.884 0.884 1
Ge1 0.269 0.269 0.269 1
Ge2 0.731 0.731 0.731 1
```

Principal peaks in the range 10 to 90 degrees two-theta, low angle first:
2theta  I (rel.)
22.37  96
23.26  25
24.54  23
25.76  61
28.77  48
30.51  100
39.00  73
40.88  33
45.90  26
50.31  25
63.13  23
65.42  23

---

2.
This entry pairs a crystal structure of Ca2Mg with its simulated powder XRD pattern. Radiation: CuKα. Structure: a DFT-relaxed cell (PBE, Alexandria).
Lines closer than 0.1° are merged.

Crystal structure
```
data_Ca2Mg
_chemical_formula_sum 'Ca4 Mg2'
_cell_length_a 8.235
_cell_length_b 8.235
_cell_length_c 5.066
_cell_angle_alpha 90.00
_cell_angle_beta 90.00
_cell_angle_gamma 142.93
_space_group_name_H-M_alt 'P 1'
_space_group_IT_number 1
_space_group_name_Hall 'P 1'
loop_
_atom_site_label
_atom_site_fract_x
_atom_site_fract_y
_atom_site_fract_z
_atom_site_occupancy
Ca1 0.000 0.000 0.000 1
Ca2 0.172 0.828 0.500 1
Ca3 0.500 0.500 0.500 1
Ca4 0.828 0.172 0.500 1
Mg1 0.329 0.671 0.000 1
Mg2 0.671 0.329 0.000 1
```

Principal peaks in the range 10 to 90 degrees two-theta, low angle first:
2theta  I (rel.)
29.95  100
34.26  17
34.46  17
35.44  16
49.38  11
50.11  11
50.26  10
58.70  13
58.97  12
60.27  12
62.24  10
81.43  4

---

3.
This entry pairs a crystal structure of NdScPb with its simulated powder XRD pattern. Radiation: CuKα. Structure: a DFT-relaxed cell (PBE, Alexandria).
Lines closer than 0.1° are merged.

Crystal structure
```
data_NdScPb
_chemical_formula_sum 'Nd2 Sc2 Pb2'
_cell_length_a 5.591
_cell_length_b 5.591
_cell_length_c 8.163
_cell_angle_alpha 105.98
_cell_angle_beta 105.98
_cell_angle_gamma 47.29
_space_group_name_H-M_alt 'P 1'
_space_group_IT_number 1
_space_group_name_Hall 'P 1'
loop_
_atom_site_label
_atom_site_fract_x
_atom_site_fract_y
_atom_site_fract_z
_atom_site_occupancy
Nd1 0.114 0.114 0.412 1
Nd2 0.886 0.886 0.588 1
Sc1 0.321 0.321 0.876 1
Sc2 0.679 0.679 0.124 1
Pb1 0.380 0.380 0.259 1
Pb2 0.620 0.620 0.741 1
```

Principal peaks in the range 10 to 90 degrees two-theta, low angle first:
2theta  I (rel.)
11.36  48
18.31  32
25.91  100
33.13  81
33.77  85
33.89  58
36.22  49
36.79  37
40.21  36
44.16  22
53.58  34
55.66  31

---

Copy entry 3 word for word.
This entry pairs a crystal structure of NdScPb with its simulated powder XRD pattern. Radiation: CuKα. Structure: a DFT-relaxed cell (PBE, Alexandria).
Lines closer than 0.1° are merged.

Crystal structure
```
data_NdScPb
_chemical_formula_sum 'Nd2 Sc2 Pb2'
_cell_length_a 5.591
_cell_length_b 5.591
_cell_length_c 8.163
_cell_angle_alpha 105.98
_cell_angle_beta 105.98
_cell_angle_gamma 47.29
_space_group_name_H-M_alt 'P 1'
_space_group_IT_number 1
_space_group_name_Hall 'P 1'
loop_
_atom_site_label
_atom_site_fract_x
_atom_site_fract_y
_atom_site_fract_z
_atom_site_occupancy
Nd1 0.114 0.114 0.412 1
Nd2 0.886 0.886 0.588 1
Sc1 0.321 0.321 0.876 1
Sc2 0.679 0.679 0.124 1
Pb1 0.380 0.380 0.259 1
Pb2 0.620 0.620 0.741 1
```

Principal peaks in the range 10 to 90 degrees two-theta, low angle first:
2theta  I (rel.)
11.36  48
18.31  32
25.91  100
33.13  81
33.77  85
33.89  58
36.22  49
36.79  37
40.21  36
44.16  22
53.58  34
55.66  31